Calculated PXRD pattern
Compound: VPH7N2O5
Radiation: Cu Kα, 1.54184 Å
Structure: DFT lattice parameters and positions (PBE+U)
No peak broadening, texture or thermal motion is included.

Structure:
a = 6.884 Å, b = 4.964 Å, c = 8.559 Å
α = 90.00°, β = 91.31°, γ = 90.00°
Fractional positions:
V: 0.145 0.000 0.344
V: 0.855 0.500 0.656
P: 0.126 0.953 0.726
P: 0.874 0.453 0.274
H: 0.206 0.406 0.059
H: 0.260 0.480 0.479
H: 0.314 0.610 0.924
H: 0.335 0.272 0.913
H: 0.414 0.248 0.539
H: 0.429 0.366 0.360
H: 0.450 0.440 0.061
H: 0.550 0.940 0.939
H: 0.571 0.866 0.640
H: 0.586 0.748 0.461
H: 0.665 0.772 0.087
H: 0.686 0.110 0.076
H: 0.740 0.980 0.521
H: 0.794 0.906 0.941
N: 0.327 0.433 0.990
N: 0.333 0.311 0.444
N: 0.667 0.811 0.556
N: 0.673 0.933 0.010
O: 0.037 0.282 0.194
O: 0.075 0.255 0.724
O: 0.122 0.831 0.555
O: 0.324 0.914 0.808
O: 0.329 0.857 0.258
O: 0.671 0.357 0.742
O: 0.676 0.414 0.192
O: 0.878 0.331 0.445
O: 0.925 0.755 0.276
O: 0.963 0.782 0.806

The 10 most intense peaks (2θ = 5–70°), sorted by position:
(0 0 1), d 8.557, I = 62
(1 0 0), d 6.882, I = 100
(1 0 1), d 5.304, I = 21
(0 0 2), d 4.280, I = 37
(1 1 0), d 4.026, I = 65
(1 0 -2), d 3.669, I = 67
(1 1 -2), d 2.952, I = 15
(1 1 2), d 2.913, I = 51
(2 1 0), d 2.828, I = 37
(0 2 0), d 2.482, I = 19

=====

Calculated PXRD pattern
Compound: VPH5NO6
Radiation: Cu Kα, 1.54184 Å
Structure: DFT lattice parameters and positions (PBE+U)
No peak broadening, texture or thermal motion is included.

Structure:
a = 6.869 Å, b = 9.153 Å, c = 9.860 Å
α = 90.00°, β = 90.00°, γ = 90.00°
Fractional positions:
V: 0.018 0.003 0.000
V: 0.482 0.003 0.500
V: 0.518 0.997 0.000
V: 0.982 0.997 0.500
P: 0.225 0.300 0.441
P: 0.275 0.300 0.941
P: 0.725 0.700 0.441
P: 0.775 0.700 0.941
H: 0.107 0.732 0.333
H: 0.149 0.729 0.831
H: 0.225 0.571 0.298
H: 0.226 0.712 0.184
H: 0.246 0.383 0.155
H: 0.254 0.383 0.655
H: 0.274 0.712 0.684
H: 0.275 0.571 0.798
H: 0.351 0.729 0.331
H: 0.393 0.732 0.833
H: 0.607 0.268 0.333
H: 0.649 0.271 0.831
H: 0.725 0.429 0.298
H: 0.726 0.288 0.184
H: 0.746 0.617 0.155
H: 0.754 0.617 0.655
H: 0.774 0.288 0.684
H: 0.775 0.429 0.798
H: 0.851 0.271 0.331
H: 0.893 0.268 0.833
N: 0.227 0.686 0.285
N: 0.273 0.686 0.785
N: 0.727 0.314 0.285
N: 0.773 0.314 0.785
O: 0.019 0.008 0.164
O: 0.040 0.204 0.461
O: 0.087 0.204 0.947
O: 0.213 0.386 0.310
O: 0.229 0.955 0.449
O: 0.233 0.417 0.558
O: 0.267 0.417 0.058
O: 0.271 0.955 0.949
O: 0.287 0.386 0.810
O: 0.413 0.204 0.447
O: 0.460 0.204 0.961
O: 0.481 0.008 0.664
O: 0.519 0.992 0.164
O: 0.540 0.796 0.461
O: 0.587 0.796 0.947
O: 0.713 0.614 0.310
O: 0.729 0.045 0.449
O: 0.733 0.583 0.558
O: 0.767 0.583 0.058
O: 0.771 0.045 0.949
O: 0.787 0.614 0.810
O: 0.913 0.796 0.447
O: 0.960 0.796 0.961
O: 0.981 0.992 0.664

The 10 most intense peaks (2θ = 5–70°), sorted by position:
(0 1 0), d 9.153, I = 85
(1 1 0), d 5.494, I = 43
(0 0 2), d 4.930, I = 100
(0 1 2), d 4.340, I = 58
(1 2 0), d 3.809, I = 17
(1 1 2), d 3.669, I = 39
(0 2 2), d 3.354, I = 23
(2 1 0), d 3.216, I = 66
(0 3 0), d 3.052, I = 35
(0 1 4), d 2.380, I = 15